No. 1
Theoretical X-ray powder pattern
Compound: YAl9Ni3
Radiation: Cu Kα (weighted mean of Kα1 and Kα2)
Structure: DFT lattice parameters and positions (PBE)

The 10 most intense peaks (2θ = 10–90°), low angle first:
2θ (°)  I_rel  (hkl)
19.4  18  0 0 6
24.4  48  1 1 0
31.4  65  1 1 6
38.5  61  1 1 9
39.4  22  0 0 12
43.0  100  3 0 0
46.9  32  1 1 12
47.6  18  3 0 6
59.7  27  3 0 12
75.8  20  4 1 9

Atomic structure:
```
data_YAl9Ni3
_space_group_name_H-M_alt 'R 3 2'
_space_group_IT_number 155
_space_group_name_Hall 'R 3 2"'
_cell_length_a 7.2857
_cell_length_b 7.2857
_cell_length_c 27.4550
_cell_angle_alpha 90.00
_cell_angle_beta 90.00
_cell_angle_gamma 120.00
loop_
_atom_site_label
_atom_site_type_symbol
_atom_site_fract_x
_atom_site_fract_y
_atom_site_fract_z
Y1 Y 0.0000 0.0000 0.1668
Al1 Al 0.0000 0.0000 0.0516
Al2 Al 0.0000 0.0000 0.2822
Al3 Al 0.0000 0.0000 0.3866
Al4 Al 0.0000 0.2085 0.5000
Al5 Al 0.0000 0.3341 0.0000
Al6 Al 0.0000 0.6703 0.4321
Ni1 Ni 0.9999 0.3395 0.4182
```


No. 2
Theoretical X-ray powder pattern
Compound: AlPPtO
Radiation: Cu Kα (weighted mean of Kα1 and Kα2)
Structure: DFT lattice parameters and positions (PBE)

The 10 most intense peaks (2θ = 10–90°), low angle first:
2θ (°)  I_rel  (hkl)
12.4  100  0 1 0
22.2  61  1 0 0
22.8  29  0 1 1
25.5  97  1 1 0
31.6  51  0 2 1
32.0  33  1 1 1
38.7  28  0 0 2
38.9  52  1 2 1
46.9  31  1 1 2
48.6  31  1 3 1

Atomic structure:
```
data_AlPPtO
_space_group_name_H-M_alt 'P m c 21'
_space_group_IT_number 26
_cell_length_a 4.0087
_cell_length_b 7.1431
_cell_length_c 4.6482
_cell_angle_alpha 90.00
_cell_angle_beta 90.00
_cell_angle_gamma 90.00
loop_
_space_group_symop_operation_xyz
'x,y,z'
'-x,-y,z+1/2'
'-x,y,z'
'x,-y,z+1/2'
loop_
_atom_site_label
_atom_site_type_symbol
_atom_site_fract_x
_atom_site_fract_y
_atom_site_fract_z
Al1 Al 0.0000 0.1314 0.0000
P1 P 0.5000 0.2976 0.8834
Pt1 Pt 0.5000 0.3857 0.3926
O1 O 0.0000 0.1006 0.3733
```